The following is a simulated X-ray diffraction stick pattern of Rb3BrCl6. It was derived from a DFT-relaxed cell (PBE, Alexandria), using Cu Kα X-rays.

Crystal structure
```
Rb3BrCl6
1.0
5.252 0.000 0.000
0.000 8.072 0.000
-4.800 0.000 17.374
Rb Br Cl
6 2 12
Direct
0.000 0.000 0.000
0.000 0.500 0.500
0.199 0.154 0.723
0.199 0.346 0.223
0.801 0.654 0.777
0.801 0.846 0.277
0.500 0.000 0.500
0.500 0.500 0.000
0.149 0.153 0.408
0.149 0.347 0.908
0.218 0.545 0.685
0.218 0.955 0.185
0.417 0.744 0.919
0.417 0.756 0.419
0.583 0.244 0.581
0.583 0.256 0.081
0.782 0.045 0.815
0.782 0.455 0.315
0.851 0.653 0.092
0.851 0.847 0.592
```

Principal peaks in the range 5 to 70 degrees two-theta, by angle:
2theta  intensity  hkl
20.2  39  1 1 -1
20.4  41  0 0 4
22.6  44  0 2 1
22.8  100  1 1 -3
25.1  39  1 1 2
25.7  41  1 1 -4
26.9  43  0 2 3
34.2  39  2 0 -2
37.6  82  1 3 -1
38.3  41  0 2 6